Entry 1:
# Li4Ti3VO8
Theoretical X-ray diffraction stick pattern, Cu Kα. Input: a DFT-relaxed cell (PBE+U, the Materials Project).
Kinematic intensities with the Lorentz-polarization factor, no thermal factor.

Atomic structure:
Cell: 6.1090 4.1387 6.9001 Å, 90.00 91.68 90.00°
Fractional positions:
Li: 0.0000 0.0000 0.0000
Li: 0.1508 0.5000 0.7690
Li: 0.4997 0.0000 0.2673
Li: 0.6584 0.5000 0.4973
Ti: 0.4980 0.0000 0.7575
Ti: 0.6597 0.5000 0.0048
Ti: 0.9919 0.0000 0.5152
V: 0.1652 0.5000 0.2538
O: 0.1530 0.0000 0.2816
O: 0.1794 0.0000 0.7428
O: 0.4917 0.5000 0.7517
O: 0.5042 0.5000 0.2379
O: 0.6584 0.0000 0.0077
O: 0.6768 0.0000 0.5308
O: 0.9675 0.5000 0.9988
O: 0.9865 0.5000 0.5120

Most intense lines, 2θ from 5° to 70°, by intensity:
index, two_theta, Rel. int.
0 1 1, 25.1, 100
0 2 0, 43.7, 71
1 0 1, 19.7, 69
2 0 0, 29.3, 69
1 0 -1, 19.1, 67
1 0 2, 30.1, 61
1 0 -2, 29.4, 60
3 0 -2, 51.5, 45
3 0 2, 52.9, 35
0 0 4, 53.1, 34

Entry 2:
# Li2TiV3O8
Theoretical X-ray diffraction stick pattern, Cu Kα. Input: a DFT-relaxed cell (PBE+U, the Materials Project).
Kinematic intensities with the Lorentz-polarization factor, no thermal factor.

Atomic structure:
Cell: 5.9305 6.0362 8.5826 Å, 90.85 90.13 90.42°
Fractional positions:
Li: 0.0000 0.0000 0.0000
Li: 0.0000 0.5000 0.5000
Li: 0.5000 0.0000 0.0000
Li: 0.5000 0.5000 0.5000
Ti: 0.2479 0.2550 0.7487
Ti: 0.7521 0.7450 0.2513
V: 0.0000 0.0000 0.5000
V: 0.0000 0.5000 0.0000
V: 0.2519 0.7510 0.2513
V: 0.5000 0.0000 0.5000
V: 0.5000 0.5000 0.0000
V: 0.7481 0.2490 0.7487
O: 0.0015 0.0347 0.7395
O: 0.0061 0.5379 0.2448
O: 0.2482 0.2664 0.9797
O: 0.2492 0.7325 0.0186
O: 0.2507 0.7656 0.4819
O: 0.2524 0.2351 0.5199
O: 0.4937 0.9614 0.2570
O: 0.4988 0.4663 0.7581
O: 0.5012 0.5337 0.2419
O: 0.5063 0.0386 0.7430
O: 0.7476 0.7649 0.4801
O: 0.7493 0.2344 0.5181
O: 0.7508 0.2675 0.9814
O: 0.7518 0.7336 0.0203
O: 0.9939 0.4621 0.7552
O: 0.9985 0.9653 0.2605

Most intense lines, 2θ from 5° to 70°, by intensity:
index, two_theta, Rel. int.
0 1 -1, 17.8, 100
0 0 4, 42.1, 21
2 -2 0, 42.6, 21
2 2 0, 42.9, 20
-2 1 1, 35.3, 11
0 1 3, 34.9, 11
2 1 1, 35.5, 10
0 3 1, 46.5, 8
0 1 -5, 55.4, 6
-2 2 4, 61.7, 6